No. 1
TaIr2Pb: calculated powder XRD pattern (a wavelength of 1.5418 Å), based on a GGA-PBE-relaxed structure.

Cell and atoms:
a b c (Å): 6.5466 6.5466 6.5466
angles (deg): 90.00 90.00 90.00
Space group F-43m (No. 216)
Inequivalent atoms, fractional coordinates:
Ta: 0.0000 0.0000 0.0000
Ir: 0.0000 0.0000 0.5000
Ir: 0.2500 0.2500 0.2500
Pb: 0.2500 0.2500 0.7500

Peak list (3 most intense, 2θ from 10° to 80°, low angle first)
h k l  d (Å)  I (rel.)
2 2 0  2.315  1000
4 0 0  1.637  174
4 2 2  1.336  359

No. 2
Sr2BeCo: calculated powder XRD pattern (a wavelength of 1.5418 Å), based on a GGA-PBE-relaxed structure.

Cell and atoms:
a b c (Å): 7.0386 7.0386 7.0386
angles (deg): 90.00 90.00 90.00
Space group F-43m (No. 216)
Inequivalent atoms, fractional coordinates:
Sr: 0.0000 0.0000 0.0000
Sr: 0.2500 0.2500 0.2500
Be: 0.0000 0.0000 0.5000
Co: 0.2500 0.2500 0.7500

Peak list (10 most intense, 2θ from 10° to 80°, low angle first)
h k l  d (Å)  I (rel.)
1 1 1  4.064  290
2 0 0  3.519  66
2 2 0  2.489  1000
3 1 1  2.122  156
4 0 0  1.760  170
3 3 1  1.615  66
4 2 0  1.574  23
4 2 2  1.437  343
5 1 1  1.355  50
4 4 0  1.244  106

No. 3
DyScGa2Cu4: calculated powder XRD pattern (a wavelength of 1.5418 Å), based on a GGA-PBE-relaxed structure.

Cell and atoms:
a b c (Å): 4.2432 4.2432 8.2654
angles (deg): 90.00 90.00 120.00
Space group P-6m2 (No. 187)
Inequivalent atoms, fractional coordinates:
Dy: 0.0000 0.0000 0.0000
Sc: 0.6667 0.3333 0.5000
Ga: 0.3333 0.6667 0.2783
Cu: 0.0000 0.0000 0.3423
Cu: 0.6667 0.3333 0.1730

Peak list (10 most intense, 2θ from 10° to 80°, low angle first)
h k l  d (Å)  I (rel.)
0 0 1  8.265  127
1 0 0  3.675  213
1 0 1  3.358  164
1 0 2  2.746  473
1 0 3  2.204  979
1 1 0  2.122  1000
2 0 2  1.680  200
2 0 3  1.529  291
2 1 3  1.240  278
3 0 0  1.225  155

No. 4
Ba2Li3MoN4: calculated powder XRD pattern (a wavelength of 1.5418 Å), based on a GGA-PBE-relaxed structure.

Cell and atoms:
a b c (Å): 11.1415 5.6619 10.9000
angles (deg): 90.00 118.13 90.00
Space group C2/c (No. 15)
Inequivalent atoms, fractional coordinates:
Ba: 0.1551 0.2165 0.1086
Li: 0.0000 0.3799 0.2500
Li: 0.1771 0.2928 0.5422
Mo: 0.0000 0.1390 0.7500
N: 0.0752 0.3316 0.6617
N: 0.1342 0.0763 0.3808

Peak list (10 most intense, 2θ from 10° to 80°, low angle first)
h k l  d (Å)  I (rel.)
1 1 0  4.906  340
1 1 -1  4.857  702
1 1 1  4.005  495
3 1 -1  3.082  895
1 1 -3  3.029  954
2 0 2  2.832  1000
4 0 -2  2.783  396
2 0 -4  2.724  304
3 1 1  2.460  334
5 1 -5  1.792  534

No. 5
YLuGe2Au2: calculated powder XRD pattern (a wavelength of 1.5418 Å), based on a GGA-PBE-relaxed structure.

Cell and atoms:
a b c (Å): 4.4600 4.4600 7.2385
angles (deg): 90.00 90.00 120.00
Space group P3m1 (No. 156)
Inequivalent atoms, fractional coordinates:
Y: 0.0000 0.0000 0.0000
Lu: 0.0000 0.0000 0.4992
Ge: 0.3333 0.6667 0.7034
Ge: 0.6667 0.3333 0.2088
Au: 0.3333 0.6667 0.3021
Au: 0.6667 0.3333 0.7834

Peak list (10 most intense, 2θ from 10° to 80°, low angle first)
h k l  d (Å)  I (rel.)
1 0 1  3.408  476
1 0 2  2.641  1000
1 1 0  2.230  809
0 1 3  2.046  287
0 2 2  1.704  270
2 0 3  1.508  109
1 1 4  1.405  174
2 1 2  1.354  251
3 0 0  1.287  140
1 2 3  1.249  119

No. 6
NaNd: calculated powder XRD pattern (a wavelength of 1.5418 Å), based on a GGA-PBE-relaxed structure.

Cell and atoms:
a b c (Å): 3.5193 3.5193 6.2646
angles (deg): 90.00 90.00 120.00
Space group P-6m2 (No. 187)
Inequivalent atoms, fractional coordinates:
Na: 0.0000 0.0000 0.0000
Nd: 0.6667 0.3333 0.5000

Peak list (10 most intense, 2θ from 10° to 80°, low angle first)
h k l  d (Å)  I (rel.)
0 0 1  6.265  709
0 0 2  3.132  273
1 0 0  3.048  475
1 0 1  2.741  1000
1 0 2  2.184  376
1 1 0  1.760  152
1 0 3  1.723  250
1 1 1  1.694  140
1 1 2  1.534  192
2 0 1  1.481  150

No. 7
KU2F9: calculated powder XRD pattern (a wavelength of 1.5418 Å), based on a GGA-PBE-relaxed structure.

Cell and atoms:
a b c (Å): 8.2351 8.8293 9.7993
angles (deg): 90.00 90.00 90.00
Space group Pnma (No. 62)
Inequivalent atoms, fractional coordinates:
K: 0.0254 0.2500 0.0403
U: 0.1194 0.5060 0.6622
F: 0.0721 0.6190 0.4620
F: 0.1180 0.0703 0.2374
F: 0.1354 0.1116 0.8431
F: 0.1393 0.7500 0.7271
F: 0.2185 0.6083 0.0335

Peak list (10 most intense, 2θ from 10° to 80°, low angle first)
h k l  d (Å)  I (rel.)
1 0 1  6.304  452
0 2 0  4.415  912
1 0 2  4.211  619
2 0 1  3.796  1000
1 2 1  3.616  528
1 2 2  3.047  566
1 0 3  3.036  377
2 2 1  2.878  829
1 2 3  2.502  383
3 2 2  2.104  346

No. 8
Hg2PbS2I2: calculated powder XRD pattern (a wavelength of 1.5418 Å), based on a GGA-PBE-relaxed structure.

Cell and atoms:
a b c (Å): 13.8367 13.8367 4.6664
angles (deg): 90.00 90.00 90.00
Space group P4/mbm (No. 127)
Inequivalent atoms, fractional coordinates:
Hg: 0.0874 0.1665 0.0000
Pb: 0.1358 0.6358 0.5000
S: 0.0733 0.7629 0.0000
I: 0.0000 0.0000 0.5000
I: 0.0000 0.5000 0.0000
I: 0.1964 0.3036 0.5000

Peak list (10 most intense, 2θ from 10° to 80°, low angle first)
h k l  d (Å)  I (rel.)
3 2 0  3.838  320
2 2 1  3.377  125
3 1 1  3.192  1000
4 3 0  2.767  137
4 1 1  2.725  226
0 0 2  2.333  216
5 2 1  2.251  319
3 2 2  1.994  114
7 2 0  1.900  114
7 5 1  1.521  117